Diffraction record for HoInAg2. The powder XRD pattern is computed, not measured: it uses a PBE-relaxed structure and Cu Kα, 1.54184 Å.

Atomic structure:
Cell: 3.7319 3.7319 6.4724 Å, 90.00 90.00 90.00°
Space group P4/mmm (No. 123)
Symmetry-distinct sites (fractional):
Ho 0.0000 0.0000 0.0000
In 0.0000 0.0000 0.5000
Ag 0.5000 0.5000 0.2447

The 6 most intense peaks (10 to 90 degrees two-theta), by intensity:
2θ (°)	I/Imax
36.8	100
34.0	62
62.6	40
48.8	23
68.0	15
78.2	11